Computed X-ray powder pattern
Compound: LaTb4
Radiation: Cu Kα, 1.54184 Å
Structure: a structure optimized by DFT (GGA-PBE)

Atomic structure:
```
LaTb4
1.0
6.232 0.000 0.000
0.000 3.600 0.000
-2.042 0.000 14.644
La Tb
2 8
Cartesian
0.000 0.000 0.000 La
3.116 1.800 0.000 La
-1.005 1.800 11.641 Tb
0.021 0.000 8.767 Tb
1.053 1.800 5.877 Tb
2.079 0.000 3.003 Tb
2.111 0.000 11.641 Tb
3.137 1.800 8.767 Tb
4.169 0.000 5.877 Tb
5.195 1.800 3.003 Tb
```

Most intense lines, 10° ≤ 2θ ≤ 80°, in order of falling intensity:
2theta  intensity
30.43  1000
35.31  672
60.33  333
30.52  327
50.75  321
60.44  186
50.88  156
63.32  123
74.62  50
60.56  46

Computed X-ray powder pattern
Compound: La3Tb8
Radiation: Cu Kα, 1.54184 Å
Structure: a structure optimized by DFT (GGA-PBE)

Atomic structure:
```
La3Tb8
1.0
5.716 -2.553 0.000
5.716 2.553 0.000
-3.443 0.000 12.612
La Tb
3 8
Cartesian
0.000 0.000 0.000 La
-1.153 0.000 8.048 La
9.143 0.000 4.564 La
1.132 0.000 3.442 Tb
-0.008 0.000 11.466 Tb
2.270 0.000 6.875 Tb
4.572 0.000 2.281 Tb
3.417 0.000 10.331 Tb
5.720 0.000 5.737 Tb
7.998 0.000 1.146 Tb
6.857 0.000 9.171 Tb
```

Most intense lines, 10° ≤ 2θ ≤ 80°, in order of falling intensity:
2theta  intensity
30.26  1000
35.05  339
50.43  242
60.01  215
35.15  168
59.87  144
62.94  124
50.52  120
60.07  72
73.95  19

Computed X-ray powder pattern
Compound: La4Tb5
Radiation: Cu Kα, 1.54184 Å
Structure: a structure optimized by DFT (GGA-PBE)

Atomic structure:
```
La4Tb5
1.0
-5.455 5.455 2.584
5.455 -5.455 2.584
5.455 5.455 -2.584
La Tb
4 5
Cartesian
1.820 1.820 0.000 La
3.635 -3.635 2.584 La
-3.635 3.635 2.584 La
3.635 3.635 2.584 La
5.455 1.790 0.000 Tb
1.790 5.455 0.000 Tb
0.000 0.000 2.584 Tb
3.664 0.000 2.584 Tb
0.000 3.664 2.584 Tb
```

Most intense lines, 10° ≤ 2θ ≤ 80°, in order of falling intensity:
2theta  intensity
30.05  1000
34.89  336
59.60  286
50.04  242
34.71  171
59.36  145
62.45  124
50.18  120
73.69  38
73.26  19

Computed X-ray powder pattern
Compound: La3Tb13
Radiation: Cu Kα, 1.54184 Å
Structure: a structure optimized by DFT (GGA-PBE)

Atomic structure:
```
La3Tb13
1.0
10.190 0.000 0.000
0.000 5.074 5.093
0.000 -5.074 5.093
La Tb
3 13
Cartesian
0.000 0.000 0.000 La
2.552 0.000 2.588 La
7.639 0.000 2.588 La
0.000 -2.556 2.572 Tb
0.000 2.556 2.572 Tb
0.000 0.000 5.149 Tb
2.567 -2.532 5.122 Tb
2.567 2.532 5.122 Tb
2.573 0.000 7.653 Tb
5.095 0.000 0.006 Tb
5.095 -2.561 2.579 Tb
5.095 2.561 2.579 Tb
5.095 0.000 5.153 Tb
7.617 0.000 7.653 Tb
7.624 -2.532 5.122 Tb
7.624 2.532 5.122 Tb
```

Most intense lines, 10° ≤ 2θ ≤ 80°, in order of falling intensity:
2theta  intensity
30.43  1000
35.24  339
60.28  287
50.79  240
35.38  168
60.47  142
63.33  124
50.69  121
74.51  38
74.85  19

Computed X-ray powder pattern
Compound: La5Tb4
Radiation: Cu Kα, 1.54184 Å
Structure: a structure optimized by DFT (GGA-PBE)

Atomic structure:
```
La5Tb4
1.0
-5.476 5.476 2.603
5.476 -5.476 2.603
5.476 5.476 -2.603
La Tb
5 4
Cartesian
0.000 0.000 0.000 La
3.630 0.000 0.000 La
7.323 0.000 0.000 La
0.000 3.630 0.000 La
0.000 7.323 0.000 La
3.654 3.654 0.000 Tb
1.822 -1.822 2.603 Tb
-1.822 1.822 2.603 Tb
1.822 1.822 2.603 Tb
```

Most intense lines, 10° ≤ 2θ ≤ 80°, in order of falling intensity:
2theta  intensity
29.89  1000
34.75  335
59.32  286
49.75  243
34.46  172
58.93  146
62.11  124
49.97  120
73.35  38
72.65  20

Computed X-ray powder pattern
Compound: La7Tb3
Radiation: Cu Kα, 1.54184 Å
Structure: a structure optimized by DFT (GGA-PBE)

Atomic structure:
```
La7Tb3
1.0
-2.815 3.622 8.728
2.815 -3.622 8.728
2.815 3.622 -8.728
La Tb
7 3
Cartesian
0.000 0.000 0.000 La
2.815 1.814 -1.847 La
2.815 0.000 5.269 La
2.815 1.814 1.847 La
0.000 1.808 6.881 La
0.000 3.622 3.459 La
0.000 1.808 10.575 La
0.000 0.000 3.480 Tb
0.000 3.622 0.000 Tb
0.000 0.000 13.976 Tb
```

Most intense lines, 10° ≤ 2θ ≤ 80°, in order of falling intensity:
2theta  intensity
30.12  1000
29.78  848
31.79  440
32.12  373
59.83  284
45.82  278
55.60  178
39.74  175
51.76  163
56.23  157

Computed X-ray powder pattern
Compound: LaTb2Te5
Radiation: Cu Kα, 1.54184 Å
Structure: a structure optimized by DFT (GGA-PBE)

Atomic structure:
```
LaTb2Te5
1.0
-4.122 4.122 7.144
4.122 -4.122 7.144
4.122 4.122 -7.144
La Tb Te
2 4 10
Cartesian
0.000 0.000 3.572 La
0.000 0.000 10.716 La
5.372 1.250 0.000 Tb
1.250 2.872 0.000 Tb
2.872 1.250 7.144 Tb
-1.250 2.872 7.144 Tb
0.000 0.000 0.000 Te
2.842 1.280 -2.099 Te
2.842 -1.280 5.045 Te
2.842 1.280 2.099 Te
2.842 -1.280 9.242 Te
0.000 0.000 7.144 Te
1.280 5.402 -2.099 Te
1.280 2.842 5.045 Te
1.280 5.402 2.099 Te
1.280 2.842 9.242 Te
```

Most intense lines, 10° ≤ 2θ ≤ 80°, in order of falling intensity:
2theta  intensity
30.67  1000
34.40  472
63.86  262
49.44  199
39.92  134
63.10  128
29.32  120
33.19  103
51.16  96
43.92  88

Computed X-ray powder pattern
Compound: LaTb3Te4
Radiation: Cu Kα, 1.54184 Å
Structure: a structure optimized by DFT (GGA-PBE)

Atomic structure:
```
LaTb3Te4
1.0
8.966 0.000 0.000
0.000 12.522 0.000
0.000 0.000 4.368
La Tb Te
2 6 8
Cartesian
0.000 0.000 0.000 La
4.483 6.261 0.000 La
0.000 6.261 0.000 Tb
2.242 3.130 2.184 Tb
2.242 9.391 2.184 Tb
4.483 0.000 0.000 Tb
6.725 3.130 2.184 Tb
6.725 9.391 2.184 Tb
0.000 3.192 0.000 Te
0.000 9.329 0.000 Te
2.151 6.261 2.184 Te
2.333 0.000 2.184 Te
4.483 3.068 0.000 Te
4.483 9.453 0.000 Te
6.634 0.000 2.184 Te
6.816 6.261 2.184 Te
```

Most intense lines, 10° ≤ 2θ ≤ 80°, in order of falling intensity:
2theta  intensity
28.52  1000
40.78  507
66.85  231
50.05  138
50.98  133
40.23  131
59.04  127
41.34  123
73.49  86
74.99  84